Record 1
Simulated powder X-ray diffraction pattern
Compound: Sr3Co2Cl2O4
Radiation: λ = 1.5418 Å (Cu Kα)
Structure: the PBE+U geometry in the Materials Project

Crystal structure
```
data_Sr3Co2Cl2O4
_cell_length_a 11.6848
_cell_length_b 11.6848
_cell_length_c 7.8524
_cell_angle_alpha 99.59
_cell_angle_beta 99.59
_cell_angle_gamma 20.81
_space_group_name_H-M_alt 'P 1'
_space_group_IT_number 1
loop_
_space_group_symop_operation_xyz
'x,y,z'
loop_
_atom_site_label
_atom_site_type_symbol
_atom_site_fract_x
_atom_site_fract_y
_atom_site_fract_z
Sr1 Sr 0.0000 0.0000 0.0000
Sr2 Sr 0.0000 0.0000 0.5000
Sr3 Sr 0.1483 0.1483 0.0794
Sr4 Sr 0.1499 0.1499 0.5696
Sr5 Sr 0.8501 0.8501 0.4304
Sr6 Sr 0.8517 0.8517 0.9206
Co1 Co 0.4161 0.4161 0.2079
Co2 Co 0.4257 0.4257 0.7123
Co3 Co 0.5743 0.5743 0.2877
Co4 Co 0.5839 0.5839 0.7921
Cl1 Cl 0.2936 0.2936 0.6528
Cl2 Cl 0.3042 0.3042 0.1485
Cl3 Cl 0.6958 0.6958 0.8515
Cl4 Cl 0.7064 0.7064 0.3472
O1 O 0.0778 0.0778 0.2893
O2 O 0.0791 0.0791 0.7893
O3 O 0.4239 0.4239 0.4672
O4 O 0.4251 0.4251 0.9566
O5 O 0.5749 0.5749 0.0434
O6 O 0.5761 0.5761 0.5328
O7 O 0.9209 0.9209 0.2107
O8 O 0.9222 0.9222 0.7107
```

The 8 most intense peaks (2θ = 10–90°), sorted by position:
d [Å], 2θ (°), I (rel.)
5.663, 15.6, 20
2.875, 31.1, 100
2.568, 34.9, 92
2.497, 36.0, 80
2.287, 39.4, 24
2.110, 42.9, 36
1.963, 46.2, 28
1.612, 57.2, 43

=====

Record 2
Simulated powder X-ray diffraction pattern
Compound: La2MgMoO6
Radiation: λ = 1.5418 Å (Cu Kα)
Structure: the PBE+U geometry in the Materials Project

Crystal structure
```
data_La2MgMoO6
_cell_length_a 5.8706
_cell_length_b 5.8900
_cell_length_c 6.0077
_cell_angle_alpha 89.91
_cell_angle_beta 61.15
_cell_angle_gamma 60.16
_space_group_name_H-M_alt 'P 1'
_space_group_IT_number 1
loop_
_space_group_symop_operation_xyz
'x,y,z'
loop_
_atom_site_label
_atom_site_type_symbol
_atom_site_fract_x
_atom_site_fract_y
_atom_site_fract_z
La1 La 0.0000 0.0000 0.0000
La2 La 0.4701 0.2607 0.7895
Mg1 Mg 0.4326 0.7841 0.3540
Mo1 Mo 0.8163 0.5926 0.7734
O1 O 0.2353 0.1637 0.6112
O2 O 0.3762 0.9751 0.0529
O3 O 0.5965 0.5734 0.6005
O4 O 0.6010 0.4345 0.0501
O5 O 0.9214 0.6443 0.0515
O6 O 0.9901 0.8225 0.6098
```

The 8 most intense peaks (2θ = 10–90°), sorted by position:
d [Å], 2θ (°), I (rel.)
4.996, 17.8, 100
2.946, 30.3, 82
2.935, 30.5, 40
2.553, 35.2, 25
2.531, 35.5, 23
2.523, 35.6, 30
1.704, 53.8, 22
1.697, 54.0, 25

=====

Record 3
Simulated powder X-ray diffraction pattern
Compound: LiFeP3O9
Radiation: λ = 1.5418 Å (Cu Kα)
Structure: the PBE+U geometry in the Materials Project

Crystal structure
```
data_LiFeP3O9
_cell_length_a 6.4996
_cell_length_b 6.4996
_cell_length_c 9.7637
_cell_angle_alpha 90.20
_cell_angle_beta 90.20
_cell_angle_gamma 59.78
_space_group_name_H-M_alt 'P 1'
_space_group_IT_number 1
loop_
_space_group_symop_operation_xyz
'x,y,z'
loop_
_atom_site_label
_atom_site_type_symbol
_atom_site_fract_x
_atom_site_fract_y
_atom_site_fract_z
Li1 Li 0.0074 0.9926 0.5000
Li2 Li 0.9926 0.0074 0.0000
Fe1 Fe 0.6652 0.6705 0.5000
Fe2 Fe 0.6705 0.6652 0.0000
P1 P 0.0561 0.3649 0.7505
P2 P 0.0561 0.5841 0.2497
P3 P 0.3631 0.5839 0.7496
P4 P 0.3649 0.0561 0.2505
P5 P 0.5841 0.0561 0.7497
P6 P 0.5839 0.3631 0.2496
O1 O 0.1242 0.5701 0.7544
O2 O 0.1249 0.3102 0.2505
O3 O 0.3095 0.5696 0.2450
O4 O 0.3102 0.1249 0.7505
O5 O 0.3621 0.7014 0.6169
O6 O 0.3696 0.9352 0.3825
O7 O 0.3749 0.9359 0.1170
O8 O 0.3773 0.6934 0.8826
O9 O 0.5701 0.1242 0.2544
O10 O 0.5696 0.3095 0.7450
O11 O 0.6934 0.3773 0.3826
O12 O 0.6969 0.9315 0.6176
O13 O 0.6990 0.9392 0.8832
O14 O 0.7014 0.3621 0.1169
O15 O 0.9315 0.6969 0.1176
O16 O 0.9352 0.3696 0.8825
O17 O 0.9359 0.3749 0.6170
O18 O 0.9392 0.6990 0.3832
```

The 8 most intense peaks (2θ = 10–90°), sorted by position:
d [Å], 2θ (°), I (rel.)
5.623, 15.8, 99
4.882, 18.2, 34
3.689, 24.1, 100
3.681, 24.2, 50
3.083, 29.0, 58
3.074, 29.0, 28
2.709, 33.1, 29
2.700, 33.2, 53

=====

Record 4
Simulated powder X-ray diffraction pattern
Compound: SrLaFeBiO6
Radiation: λ = 1.5418 Å (Cu Kα)
Structure: the PBE+U geometry in the Materials Project

Crystal structure
```
data_SrLaFeBiO6
_cell_length_a 5.8746
_cell_length_b 5.8746
_cell_length_c 5.8746
_cell_angle_alpha 60.00
_cell_angle_beta 60.00
_cell_angle_gamma 60.00
_space_group_name_H-M_alt 'P 1'
_space_group_IT_number 1
loop_
_space_group_symop_operation_xyz
'x,y,z'
loop_
_atom_site_label
_atom_site_type_symbol
_atom_site_fract_x
_atom_site_fract_y
_atom_site_fract_z
Sr1 Sr 0.0000 0.0000 0.0000
La1 La 0.5000 0.5000 0.5000
Fe1 Fe 0.2500 0.2500 0.2500
Bi1 Bi 0.7500 0.7500 0.7500
O1 O 0.0119 0.0119 0.4881
O2 O 0.0119 0.4881 0.0119
O3 O 0.0119 0.4881 0.4881
O4 O 0.4881 0.0119 0.0119
O5 O 0.4881 0.0119 0.4881
O6 O 0.4881 0.4881 0.0119
```

The 8 most intense peaks (2θ = 10–90°), sorted by position:
d [Å], 2θ (°), I (rel.)
4.797, 18.5, 22
2.937, 30.4, 100
2.505, 35.8, 15
2.077, 43.6, 30
1.696, 54.1, 41
1.469, 63.3, 19
1.314, 71.9, 18
1.110, 88.0, 22

=====

Record 5
Simulated powder X-ray diffraction pattern
Compound: NaMn4O8
Radiation: λ = 1.5418 Å (Cu Kα)
Structure: the PBE+U geometry in the Materials Project

Crystal structure
```
data_NaMn4O8
_cell_length_a 5.9415
_cell_length_b 5.9415
_cell_length_c 6.7159
_cell_angle_alpha 116.56
_cell_angle_beta 116.56
_cell_angle_gamma 58.72
_space_group_name_H-M_alt 'P 1'
_space_group_IT_number 1
loop_
_space_group_symop_operation_xyz
'x,y,z'
loop_
_atom_site_label
_atom_site_type_symbol
_atom_site_fract_x
_atom_site_fract_y
_atom_site_fract_z
Na1 Na 0.0000 0.0000 0.0000
Mn1 Mn 0.0000 0.0000 0.5000
Mn2 Mn 0.0000 0.5000 0.5000
Mn3 Mn 0.5000 0.0000 0.5000
Mn4 Mn 0.5000 0.5000 0.5000
O1 O 0.2159 0.7232 0.6677
O2 O 0.2218 0.2218 0.6707
O3 O 0.2552 0.2552 0.3180
O4 O 0.2768 0.7841 0.3323
O5 O 0.7232 0.2159 0.6677
O6 O 0.7448 0.7448 0.6820
O7 O 0.7782 0.7782 0.3293
O8 O 0.7841 0.2768 0.3323
```

The 8 most intense peaks (2θ = 10–90°), sorted by position:
d [Å], 2θ (°), I (rel.)
5.764, 15.4, 100
2.882, 31.0, 7
2.512, 35.7, 10
2.222, 40.6, 14
2.189, 41.2, 26
1.770, 51.6, 10
1.485, 62.5, 7
1.438, 64.8, 8

=====

Record 6
Simulated powder X-ray diffraction pattern
Compound: Li6Fe5CuO12
Radiation: λ = 1.5418 Å (Cu Kα)
Structure: the PBE+U geometry in the Materials Project

Crystal structure
```
data_Li6Fe5CuO12
_cell_length_a 5.1740
_cell_length_b 5.1740
_cell_length_c 10.1611
_cell_angle_alpha 90.19
_cell_angle_beta 90.19
_cell_angle_gamma 120.20
_space_group_name_H-M_alt 'P 1'
_space_group_IT_number 1
loop_
_space_group_symop_operation_xyz
'x,y,z'
loop_
_atom_site_label
_atom_site_type_symbol
_atom_site_fract_x
_atom_site_fract_y
_atom_site_fract_z
Li1 Li 0.0153 0.3370 0.2748
Li2 Li 0.3059 0.3059 0.7218
Li3 Li 0.3370 0.0153 0.2748
Li4 Li 0.6630 0.9847 0.7252
Li5 Li 0.6941 0.6941 0.2782
Li6 Li 0.9847 0.6630 0.7252
Fe1 Fe 0.1675 0.8325 0.0000
Fe2 Fe 0.3365 0.6635 0.5000
Fe3 Fe 0.5000 0.5000 0.0000
Fe4 Fe 0.6635 0.3365 0.5000
Fe5 Fe 0.8325 0.1675 0.0000
Cu1 Cu 0.0000 0.0000 0.5000
O1 O 0.0079 0.6707 0.3890
O2 O 0.1561 0.1561 0.8949
O3 O 0.1586 0.4898 0.1018
O4 O 0.3293 0.9921 0.6110
O5 O 0.3646 0.3646 0.3792
O6 O 0.4898 0.1586 0.1018
O7 O 0.5102 0.8414 0.8982
O8 O 0.6354 0.6354 0.6208
O9 O 0.6707 0.0079 0.3890
O10 O 0.8414 0.5102 0.8982
O11 O 0.8439 0.8439 0.1051
O12 O 0.9921 0.3293 0.6110
```

The 8 most intense peaks (2θ = 10–90°), sorted by position:
d [Å], 2θ (°), I (rel.)
5.080, 17.5, 100
2.507, 35.8, 37
2.306, 39.1, 14
2.294, 39.3, 11
2.059, 44.0, 22
2.053, 44.1, 22
1.601, 57.6, 12
1.474, 63.1, 10